Starting from DFT lattice parameters and positions (PBE), the powder diffraction line list of Er3Pb was calculated for Cu Kα (λ = 1.5418 Å).
Lines closer than 0.1° are merged.

Crystal structure
```
Er3Pb
1.0
-2.3298 2.3298 5.2737
2.3298 -2.3298 5.2737
2.3298 2.3298 -5.2737
Er Pb
3 1
Direct
0.0000 0.0000 0.0000
0.2500 0.7500 0.5000
0.7500 0.2500 0.5000
0.5000 0.5000 0.0000
```

The 6 most intense peaks (2θ = 10–80°), in order of falling intensity:
2θ/deg	I_rel
32.03	100
38.65	30
65.81	26
52.41	25
34.00	21
59.61	17



Starting from DFT lattice parameters and positions (PBE), the powder diffraction line list of EuCu2Sb2 was calculated for Cu Kα (λ = 1.5418 Å).
Lines closer than 0.1° are merged.

Crystal structure
```
EuCu2Sb2
1.0
4.5275 0.0000 0.0000
0.0000 4.5275 0.0000
0.0000 0.0000 10.8906
Eu Cu Sb
2 4 4
Direct
0.2500 0.2500 0.2385
0.7500 0.7500 0.7615
0.2500 0.2500 0.6378
0.2500 0.7500 0.0000
0.7500 0.2500 0.0000
0.7500 0.7500 0.3622
0.2500 0.2500 0.8700
0.2500 0.7500 0.5000
0.7500 0.2500 0.5000
0.7500 0.7500 0.1300
```

The 6 most intense peaks (2θ = 10–80°), in order of falling intensity:
2θ/deg	I_rel
32.44	100
39.82	62
31.59	57
51.69	28
46.25	26
67.66	23



Starting from DFT lattice parameters and positions (PBE), the powder diffraction line list of LiDyS2 was calculated for Cu Kα (λ = 1.5418 Å).
Lines closer than 0.1° are merged.

Crystal structure
```
LiDyS2
1.0
1.9561 1.1294 6.1761
-1.9561 1.1294 6.1761
0.0000 -2.2588 6.1761
Li Dy S
1 1 2
Direct
0.0000 0.0000 0.0000
0.5000 0.5000 0.5000
0.2501 0.2501 0.2501
0.7499 0.7499 0.7499
```

The 6 most intense peaks (2θ = 10–80°), in order of falling intensity:
2θ/deg	I_rel
14.34	100
32.75	94
26.75	71
46.42	34
35.91	33
47.56	32



Starting from DFT lattice parameters and positions (PBE), the powder diffraction line list of Sr2ZnGe2O7 was calculated for Cu Kα (λ = 1.5418 Å).
Lines closer than 0.1° are merged.

Crystal structure
```
Sr2ZnGe2O7
1.0
8.2578 0.0000 0.0000
0.0000 8.2578 0.0000
0.0000 0.0000 5.4008
Sr Zn Ge O
4 2 4 14
Direct
0.1657 0.3343 0.4927
0.3343 0.8343 0.5073
0.6657 0.1657 0.5073
0.8343 0.6657 0.4927
0.0000 0.0000 0.0000
0.5000 0.5000 0.0000
0.1429 0.6429 0.9529
0.3571 0.1429 0.0471
0.6429 0.8571 0.0471
0.8571 0.3571 0.9529
0.0000 0.5000 0.8170
0.0828 0.8210 0.7925
0.1384 0.6384 0.2749
0.1790 0.0828 0.2075
0.3210 0.5828 0.7925
0.3616 0.1384 0.7251
0.4172 0.3210 0.2075
0.5000 0.0000 0.1830
0.5828 0.6790 0.2075
0.6384 0.8616 0.7251
0.6790 0.4172 0.7925
0.8210 0.9172 0.2075
0.8616 0.3616 0.2749
0.9172 0.1790 0.7925
```

The 6 most intense peaks (2θ = 10–80°), in order of falling intensity:
2θ/deg	I_rel
29.30	100
48.49	38
34.34	27
27.19	18
63.02	14
33.18	11



Starting from DFT lattice parameters and positions (PBE), the powder diffraction line list of VI3 was calculated for Cu Kα (λ = 1.5418 Å).
Lines closer than 0.1° are merged.

Crystal structure
```
VI3
1.0
10.6606 0.0000 0.0000
-5.3303 9.2323 0.0000
0.0000 0.0000 3.6811
V I
2 6
Direct
0.3333 0.6667 0.2500
0.6667 0.3333 0.7500
0.2194 0.4389 0.7500
0.2194 0.7806 0.7500
0.4389 0.2194 0.2500
0.5611 0.7806 0.7500
0.7806 0.2194 0.2500
0.7806 0.5611 0.2500
```

The 6 most intense peaks (2θ = 10–80°), in order of falling intensity:
2θ/deg	I_rel
25.53	100
38.11	99
31.07	83
19.23	78
26.06	62
43.03	48



Starting from DFT lattice parameters and positions (PBE), the powder diffraction line list of Al2NiCl8 was calculated for Cu Kα (λ = 1.5418 Å).
Lines closer than 0.1° are merged.

Crystal structure
```
Al2NiCl8
1.0
8.6460 -3.9484 0.0000
8.6460 3.9484 0.0000
-7.3666 0.0000 8.8543
Al Ni Cl
4 2 16
Direct
0.1599 0.6703 0.9683
0.3297 0.8401 0.5317
0.6703 0.1599 0.4683
0.8401 0.3297 0.0317
0.0034 0.9966 0.2500
0.9966 0.0034 0.7500
0.1314 0.1677 0.0121
0.1432 0.6919 0.7812
0.1502 0.7158 0.3129
0.1677 0.1314 0.5121
0.2842 0.8498 0.1871
0.3081 0.8568 0.7188
0.3156 0.3703 0.9459
0.3703 0.3156 0.4459
0.6297 0.6844 0.5541
0.6844 0.6297 0.0541
0.6919 0.1432 0.2812
0.7158 0.1502 0.8129
0.8323 0.8686 0.4879
0.8498 0.2842 0.6871
0.8568 0.3081 0.2188
0.8686 0.8323 0.9879
```

The 6 most intense peaks (2θ = 10–80°), in order of falling intensity:
2θ/deg	I_rel
30.82	100
13.04	84
13.32	75
30.60	49
47.04	44
20.05	31



Starting from DFT lattice parameters and positions (PBE), the powder diffraction line list of LiC12 was calculated for Cu Kα (λ = 1.5418 Å).
Lines closer than 0.1° are merged.

Crystal structure
```
LiC12
1.0
4.2979 0.0000 0.0000
-2.1490 3.7221 0.0000
0.0000 0.0000 7.7650
Li C
1 12
Direct
0.0000 0.0000 0.0000
0.0000 0.3334 0.2438
0.0000 0.3334 0.7562
0.0000 0.6666 0.2438
0.0000 0.6666 0.7562
0.3334 0.0000 0.2438
0.3334 0.0000 0.7562
0.3334 0.3334 0.2438
0.3334 0.3334 0.7562
0.6666 0.0000 0.2438
0.6666 0.0000 0.7562
0.6666 0.6666 0.2438
0.6666 0.6666 0.7562
```

The 6 most intense peaks (2θ = 10–80°), in order of falling intensity:
2θ/deg	I_rel
22.91	100
48.41	14
46.80	9
42.05	8
76.83	5
11.40	4



Starting from DFT lattice parameters and positions (PBE), the powder diffraction line list of Nd3Hg was calculated for Cu Kα (λ = 1.5418 Å).
Lines closer than 0.1° are merged.

Crystal structure
```
Nd3Hg
1.0
-2.4318 2.4318 5.1155
2.4318 -2.4318 5.1155
2.4318 2.4318 -5.1155
Nd Hg
3 1
Direct
0.0000 0.0000 0.0000
0.2500 0.7500 0.5000
0.7500 0.2500 0.5000
0.5000 0.5000 0.0000
```

The 6 most intense peaks (2θ = 10–80°), in order of falling intensity:
2θ/deg	I_rel
31.34	100
36.96	32
63.12	27
51.88	25
35.08	19
60.61	15